# 1
For BiP2O7, a cell relaxed with PBE gives the theoretical XRD peak list in this record (λ = 1.5418 Å (Cu Kα)).
Intensities are scaled so that the largest is 100.

Peak list (10 most intense, 2θ from 5° to 70°, most intense first)
2θ 13.85, I = 100.0; 2θ 26.59, I = 63.5; 2θ 18.90, I = 51.9; 2θ 26.30, I = 50.0; 2θ 18.13, I = 25.6; 2θ 27.90, I = 25.4; 2θ 33.52, I = 24.5; 2θ 28.23, I = 24.1; 2θ 18.55, I = 23.9; 2θ 16.77, I = 19.4

Crystal structure
Lattice parameters (Å, degrees): 5.228 9.392 13.664 90.00 110.61 90.00
Space group P2_1/c (No. 14)
One atom of each set of equivalent atoms:
Bi 0.063 0.220 0.271 [4 per cell]
P 0.261 0.724 0.529 [4 per cell]
P 0.430 0.525 0.701 [4 per cell]
O 0.052 0.702 0.067 [4 per cell]
O 0.164 0.705 0.412 [4 per cell]
O 0.247 0.594 0.753 [4 per cell]
O 0.270 0.075 0.757 [4 per cell]
O 0.310 0.564 0.577 [4 per cell]
O 0.418 0.137 0.208 [4 per cell]
O 0.466 0.196 0.426 [4 per cell]

=====

# 2
For Bi11PO20, a cell relaxed with PBE gives the theoretical XRD peak list in this record (λ = 1.5418 Å (Cu Kα)).
Intensities are scaled so that the largest is 100.

Peak list (10 most intense, 2θ from 5° to 70°, most intense first)
2θ 32.52, I = 100.0; 2θ 27.42, I = 87.1; 2θ 28.01, I = 77.5; 2θ 26.60, I = 63.4; 2θ 27.30, I = 50.9; 2θ 26.75, I = 48.0; 2θ 24.21, I = 46.8; 2θ 31.93, I = 39.6; 2θ 29.83, I = 38.6; 2θ 29.96, I = 37.9

Crystal structure
Lattice parameters (Å, degrees): 8.858 8.958 8.985 107.59 111.31 109.07
Space group P1 (No. 1)
One atom of each set of equivalent atoms:
Bi 0.000 0.000 0.000 [1 per cell]
Bi 0.010 0.815 0.566 [1 per cell]
Bi 0.161 0.352 0.503 [1 per cell]
Bi 0.212 0.703 0.953 [1 per cell]
Bi 0.348 0.032 0.437 [1 per cell]
Bi 0.364 0.415 0.081 [1 per cell]
Bi 0.505 0.057 0.879 [1 per cell]
Bi 0.538 0.687 0.537 [1 per cell]
Bi 0.674 0.509 0.880 [1 per cell]
Bi 0.708 0.338 0.377 [1 per cell]
Bi 0.723 0.905 0.225 [1 per cell]
P 0.851 0.201 0.725 [1 per cell]
O 0.045 0.229 0.757 [1 per cell]
O 0.112 0.081 0.380 [1 per cell]
O 0.118 0.840 0.105 [1 per cell]
O 0.226 0.953 0.846 [1 per cell]
O 0.251 0.421 0.325 [1 per cell]
O 0.285 0.856 0.547 [1 per cell]
O 0.335 0.653 0.180 [1 per cell]
O 0.468 0.220 0.738 [1 per cell]
O 0.491 0.939 0.094 [1 per cell]
O 0.496 0.571 0.980 [1 per cell]
O 0.508 0.477 0.621 [1 per cell]
O 0.601 0.312 0.102 [1 per cell]
O 0.619 0.570 0.355 [1 per cell]
O 0.695 0.046 0.528 [1 per cell]
O 0.747 0.846 0.982 [1 per cell]
O 0.818 0.146 0.865 [1 per cell]
O 0.845 0.379 0.748 [1 per cell]
O 0.855 0.795 0.720 [1 per cell]
O 0.857 0.197 0.303 [1 per cell]
O 0.984 0.557 0.521 [1 per cell]

=====

# 3
For Bi2PO6, a cell relaxed with PBE gives the theoretical XRD peak list in this record (λ = 1.5418 Å (Cu Kα)).
Intensities are scaled so that the largest is 100.

Peak list (10 most intense, 2θ from 5° to 70°, most intense first)
2θ 28.57, I = 100.0; 2θ 48.92, I = 32.2; 2θ 12.07, I = 20.5; 2θ 22.71, I = 19.5; 2θ 44.61, I = 17.1; 2θ 53.75, I = 16.4; 2θ 53.91, I = 16.2; 2θ 31.07, I = 15.0; 2θ 31.20, I = 14.8; 2θ 59.13, I = 11.3

Crystal structure
Lattice parameters (Å, degrees): 5.734 14.669 5.757 90.00 90.00 90.00
Space group Ccce (No. 68, origin choice 2)
One atom of each set of equivalent atoms:
Bi 0.000 0.084 0.250 [8 per cell]
P 0.000 0.250 0.750 [4 per cell]
O 0.149 0.184 0.601 [16 per cell]
O 0.250 0.000 0.488 [8 per cell]

=====

# 4
For BiPO5, a cell relaxed with PBE gives the theoretical XRD peak list in this record (λ = 1.5418 Å (Cu Kα)).
Intensities are scaled so that the largest is 100.

Peak list (10 most intense, 2θ from 5° to 70°, most intense first)
2θ 14.72, I = 100.0; 2θ 29.69, I = 74.3; 2θ 20.73, I = 61.2; 2θ 28.78, I = 37.6; 2θ 42.29, I = 31.4; 2θ 24.67, I = 31.0; 2θ 29.49, I = 30.3; 2θ 50.58, I = 19.3; 2θ 35.05, I = 18.3; 2θ 40.57, I = 14.8

Crystal structure
Lattice parameters (Å, degrees): 7.438 12.757 17.172 90.00 90.00 90.00
Space group Fddd (No. 70, origin choice 2)
One atom of each set of equivalent atoms:
Bi 0.000 0.000 0.000 [16 per cell]
P 0.125 0.125 0.412 [16 per cell]
O 0.044 0.367 0.035 [32 per cell]
O 0.106 0.025 0.360 [32 per cell]
O 0.125 0.125 0.057 [16 per cell]